1.
La3Pr5Cd2: simulated powder X-ray diffraction pattern (Cu Kα), based on a crystal structure in Alexandria, relaxed with GGA-PBE.
Neutral-atom scattering factors, no anomalous dispersion.

The 10 most intense peaks (2θ = 10–90°), sorted by position:
two_theta, d [Å], I (rel.)
25.39, 3.507, 38
28.53, 3.129, 100
28.79, 3.101, 97
34.66, 2.588, 65
35.11, 2.556, 38
35.34, 2.540, 24
37.31, 2.410, 85
45.48, 1.994, 21
61.85, 1.500, 38
62.30, 1.490, 21

Crystal structure
abc: 10.796 10.796 10.796
angles: 102.19 89.45 142.99
Positions (direct):
La: 0.246 0.118 0.364
La: 0.250 0.250 0.000
La: 0.254 0.618 0.872
La: 0.746 0.382 0.128
La: 0.750 0.750 0.000
La: 0.754 0.882 0.636
Pr: 0.164 0.375 0.539
Pr: 0.250 0.000 0.750
Pr: 0.250 0.500 0.250
Pr: 0.250 0.750 0.500
Pr: 0.336 0.875 0.211
Pr: 0.664 0.125 0.789
Pr: 0.750 0.000 0.250
Pr: 0.750 0.250 0.500
Pr: 0.750 0.500 0.750
Pr: 0.836 0.625 0.461
Cd: 0.143 0.870 0.013
Cd: 0.357 0.370 0.727
Cd: 0.643 0.630 0.273
Cd: 0.857 0.130 0.987


2.
Pm3ZnNi2: simulated powder X-ray diffraction pattern (Cu Kα), based on a crystal structure in Alexandria, relaxed with GGA-PBE.
Neutral-atom scattering factors, no anomalous dispersion.

The 10 most intense peaks (2θ = 10–90°), sorted by position:
two_theta, d [Å], I (rel.)
25.19, 3.536, 17
35.92, 2.500, 100
42.60, 2.122, 1
44.37, 2.042, 5
51.70, 1.768, 17
58.35, 1.581, 6
64.56, 1.444, 33
76.14, 1.250, 10
81.70, 1.179, 3
87.17, 1.118, 14

Crystal structure
abc: 3.535 3.535 10.612
angles: 90.00 90.00 90.00
Positions (direct):
Pm: 0.000 0.000 0.000
Pm: 0.000 0.000 0.319
Pm: 0.000 0.000 0.681
Zn: 0.500 0.500 0.500
Ni: 0.500 0.500 0.166
Ni: 0.500 0.500 0.834


3.
NdEr3Mg4: simulated powder X-ray diffraction pattern (Cu Kα), based on a crystal structure in Alexandria, relaxed with GGA-PBE.
Neutral-atom scattering factors, no anomalous dispersion.

The 10 most intense peaks (2θ = 10–90°), sorted by position:
two_theta, d [Å], I (rel.)
23.38, 3.805, 21
23.49, 3.787, 42
33.41, 2.682, 100
41.23, 2.190, 20
48.06, 1.893, 12
53.93, 1.700, 9
54.13, 1.694, 18
59.61, 1.551, 13
59.77, 1.547, 25
80.13, 1.198, 11

Crystal structure
abc: 10.711 7.611 5.355
angles: 90.00 90.00 90.00
Positions (direct):
Nd: 0.000 0.000 0.000
Nd: 0.500 0.000 0.000
Er: 0.000 0.500 0.000
Er: 0.250 0.000 0.498
Er: 0.250 0.500 0.498
Er: 0.500 0.500 0.000
Er: 0.750 0.000 0.502
Er: 0.750 0.500 0.502
Mg: 0.000 0.255 0.500
Mg: 0.000 0.745 0.500
Mg: 0.250 0.255 0.997
Mg: 0.250 0.745 0.997
Mg: 0.500 0.255 0.500
Mg: 0.500 0.745 0.500
Mg: 0.750 0.255 0.003
Mg: 0.750 0.745 0.003


4.
CePm3Ge: simulated powder X-ray diffraction pattern (Cu Kα), based on a crystal structure in Alexandria, relaxed with GGA-PBE.
Neutral-atom scattering factors, no anomalous dispersion.

The 10 most intense peaks (2θ = 10–90°), sorted by position:
two_theta, d [Å], I (rel.)
15.59, 5.685, 81
22.90, 3.883, 45
25.86, 3.445, 87
30.30, 2.950, 47
31.47, 2.842, 56
33.22, 2.697, 91
34.79, 2.578, 27
36.34, 2.472, 100
39.79, 2.266, 30
46.79, 1.941, 60

Crystal structure
abc: 11.401 11.401 11.401
angles: 150.01 150.01 42.93
Positions (direct):
Ce: 0.209 0.209 0.000
Ce: 0.791 0.791 0.000
Pm: 0.374 0.126 0.752
Pm: 0.374 0.622 0.248
Pm: 0.378 0.626 0.752
Pm: 0.538 0.038 0.500
Pm: 0.874 0.626 0.248
Pm: 0.962 0.462 0.500
Ge: 0.250 0.750 0.500
Ge: 0.500 0.500 0.000


5.
AsHIrOsAu: simulated powder X-ray diffraction pattern (Cu Kα), based on a crystal structure in Alexandria, relaxed with GGA-PBE.
Neutral-atom scattering factors, no anomalous dispersion.

The 10 most intense peaks (2θ = 10–90°), sorted by position:
two_theta, d [Å], I (rel.)
15.59, 5.684, 43
25.13, 3.544, 33
31.48, 2.842, 69
32.58, 2.749, 33
36.40, 2.468, 33
37.84, 2.378, 100
41.28, 2.187, 54
42.41, 2.131, 50
44.80, 2.023, 89
54.86, 1.674, 38

Crystal structure
abc: 11.376 2.833 4.670
angles: 90.00 92.11 90.00
Positions (direct):
As: 0.000 0.000 0.000
As: 0.500 0.500 0.000
H: 0.249 0.000 0.045
H: 0.749 0.500 0.045
Ir: 0.320 0.500 0.298
Ir: 0.820 0.000 0.298
Os: 0.347 0.000 0.769
Os: 0.847 0.500 0.769
Au: 0.117 0.000 0.516
Au: 0.617 0.500 0.516


6.
Tb8Sm3: simulated powder X-ray diffraction pattern (Cu Kα), based on a crystal structure in Alexandria, relaxed with GGA-PBE.
Neutral-atom scattering factors, no anomalous dispersion.

The 10 most intense peaks (2θ = 10–90°), sorted by position:
two_theta, d [Å], I (rel.)
30.62, 2.919, 100
35.51, 2.528, 51
51.09, 1.788, 36
60.71, 1.525, 11
60.77, 1.524, 32
63.73, 1.460, 9
83.23, 1.161, 9
83.37, 1.159, 9
85.92, 1.131, 8
86.03, 1.130, 8

Crystal structure
abc: 32.135 32.135 32.135
angles: 6.38 6.38 6.38
Positions (direct):
Tb: 0.045 0.045 0.045
Tb: 0.136 0.136 0.136
Tb: 0.318 0.318 0.318
Tb: 0.409 0.409 0.409
Tb: 0.591 0.591 0.591
Tb: 0.682 0.682 0.682
Tb: 0.864 0.864 0.864
Tb: 0.955 0.955 0.955
Sm: 0.228 0.228 0.228
Sm: 0.500 0.500 0.500
Sm: 0.772 0.772 0.772


7.
La3Pr2Y4: simulated powder X-ray diffraction pattern (Cu Kα), based on a crystal structure in Alexandria, relaxed with GGA-PBE.
Neutral-atom scattering factors, no anomalous dispersion.

The 10 most intense peaks (2θ = 10–90°), sorted by position:
two_theta, d [Å], I (rel.)
28.59, 3.122, 49
30.08, 2.971, 53
30.77, 2.906, 100
31.40, 2.849, 50
33.57, 2.669, 40
40.20, 2.243, 21
47.62, 1.910, 19
51.67, 1.769, 18
53.85, 1.703, 19
61.39, 1.510, 27

Crystal structure
abc: 10.370 10.370 10.370
angles: 160.37 122.39 61.48
Positions (direct):
La: 0.000 0.000 0.000
La: 0.341 0.841 0.500
La: 0.659 0.159 0.500
Pr: 0.330 0.500 0.830
Pr: 0.670 0.500 0.170
Y: 0.007 0.332 0.676
Y: 0.344 0.668 0.676
Y: 0.656 0.332 0.324
Y: 0.993 0.668 0.324


8.
NdPaCu10: simulated powder X-ray diffraction pattern (Cu Kα), based on a crystal structure in Alexandria, relaxed with GGA-PBE.
Neutral-atom scattering factors, no anomalous dispersion.

The 10 most intense peaks (2θ = 10–90°), sorted by position:
two_theta, d [Å], I (rel.)
29.77, 3.001, 83
35.22, 2.548, 17
35.43, 2.534, 33
40.98, 2.203, 36
41.22, 2.190, 18
41.71, 2.165, 51
41.89, 2.156, 100
44.10, 2.054, 39
61.76, 1.502, 21
67.77, 1.383, 23

Crystal structure
abc: 4.107 5.096 8.760
angles: 90.00 90.00 90.00
Positions (direct):
Nd: 0.000 0.000 0.000
Pa: 0.000 0.500 0.500
Cu: 0.000 0.000 0.337
Cu: 0.000 0.000 0.663
Cu: 0.000 0.500 0.171
Cu: 0.000 0.500 0.829
Cu: 0.500 0.000 0.500
Cu: 0.500 0.255 0.257
Cu: 0.500 0.255 0.743
Cu: 0.500 0.500 0.000
Cu: 0.500 0.745 0.257
Cu: 0.500 0.745 0.743


9.
PrAl12Pd6: simulated powder X-ray diffraction pattern (Cu Kα), based on a crystal structure in Alexandria, relaxed with GGA-PBE.
Neutral-atom scattering factors, no anomalous dispersion.

The 10 most intense peaks (2θ = 10–90°), sorted by position:
two_theta, d [Å], I (rel.)
22.11, 4.020, 34
26.00, 3.428, 79
27.17, 3.282, 42
31.48, 2.842, 100
34.38, 2.608, 43
41.26, 2.188, 60
45.11, 2.010, 90
50.79, 1.797, 24
52.80, 1.734, 26
67.43, 1.389, 37

Crystal structure
abc: 7.190 7.190 7.190
angles: 104.47 104.47 104.47
Positions (direct):
Pr: 0.000 0.000 0.000
Al: 0.114 0.500 0.886
Al: 0.114 0.886 0.500
Al: 0.150 0.403 0.403
Al: 0.403 0.150 0.403
Al: 0.403 0.403 0.150
Al: 0.500 0.114 0.886
Al: 0.500 0.886 0.114
Al: 0.597 0.597 0.850
Al: 0.597 0.850 0.597
Al: 0.850 0.597 0.597
Al: 0.886 0.114 0.500
Al: 0.886 0.500 0.114
Pd: 0.279 0.279 0.710
Pd: 0.279 0.710 0.279
Pd: 0.290 0.721 0.721
Pd: 0.710 0.279 0.279
Pd: 0.721 0.290 0.721
Pd: 0.721 0.721 0.290


10.
Gd2Co17: simulated powder X-ray diffraction pattern (Cu Kα), based on a crystal structure in Alexandria, relaxed with GGA-PBE.
Neutral-atom scattering factors, no anomalous dispersion.

The 10 most intense peaks (2θ = 10–90°), sorted by position:
two_theta, d [Å], I (rel.)
30.83, 2.900, 41
37.48, 2.399, 40
41.84, 2.159, 42
43.56, 2.078, 65
43.86, 2.064, 100
44.77, 2.024, 32
49.29, 1.849, 20
63.53, 1.464, 18
64.24, 1.450, 17
81.90, 1.176, 18

Crystal structure
abc: 8.311 8.311 8.097
angles: 90.00 90.00 120.00
Positions (direct):
Gd: 0.000 0.000 0.250
Gd: 0.000 0.000 0.750
Gd: 0.333 0.667 0.250
Gd: 0.667 0.333 0.750
Co: 0.000 0.500 0.000
Co: 0.000 0.500 0.500
Co: 0.048 0.377 0.750
Co: 0.048 0.671 0.750
Co: 0.167 0.334 0.022
Co: 0.167 0.334 0.478
Co: 0.167 0.833 0.022
Co: 0.167 0.833 0.478
Co: 0.329 0.377 0.750
Co: 0.329 0.952 0.750
Co: 0.333 0.667 0.607
Co: 0.333 0.667 0.893
Co: 0.334 0.167 0.522
Co: 0.334 0.167 0.978
Co: 0.377 0.048 0.250
Co: 0.377 0.329 0.250
Co: 0.500 0.000 0.000
Co: 0.500 0.000 0.500
Co: 0.500 0.500 0.000
Co: 0.500 0.500 0.500
Co: 0.623 0.671 0.750
Co: 0.623 0.952 0.750
Co: 0.666 0.833 0.022
Co: 0.666 0.833 0.478
Co: 0.667 0.333 0.107
Co: 0.667 0.333 0.393
Co: 0.671 0.048 0.250
Co: 0.671 0.623 0.250
Co: 0.833 0.167 0.522
Co: 0.833 0.167 0.978
Co: 0.833 0.666 0.522
Co: 0.833 0.666 0.978
Co: 0.952 0.329 0.250
Co: 0.952 0.623 0.250


11.
BaTl9Te6: simulated powder X-ray diffraction pattern (Cu Kα), based on a crystal structure in Alexandria, relaxed with GGA-PBE.
Neutral-atom scattering factors, no anomalous dispersion.

The 10 most intense peaks (2θ = 10–90°), sorted by position:
two_theta, d [Å], I (rel.)
29.45, 3.032, 100
29.64, 3.014, 13
31.09, 2.877, 54
39.63, 2.274, 14
44.54, 2.034, 13
45.70, 1.985, 10
51.20, 1.784, 14
57.29, 1.608, 9
58.26, 1.584, 16
65.72, 1.421, 12

Crystal structure
abc: 9.377 9.377 9.377
angles: 121.97 121.97 86.62
Positions (direct):
Ba: 0.000 0.000 0.000
Tl: 0.011 0.215 0.538
Tl: 0.215 0.677 0.204
Tl: 0.323 0.527 0.538
Tl: 0.473 0.011 0.796
Tl: 0.500 0.500 0.000
Tl: 0.527 0.989 0.204
Tl: 0.677 0.473 0.462
Tl: 0.785 0.323 0.796
Tl: 0.989 0.785 0.462
Te: 0.163 0.654 0.818
Te: 0.256 0.256 0.000
Te: 0.346 0.163 0.509
Te: 0.654 0.837 0.491
Te: 0.744 0.744 0.000
Te: 0.837 0.346 0.182


12.
Ag2TeH: simulated powder X-ray diffraction pattern (Cu Kα), based on a crystal structure in Alexandria, relaxed with GGA-PBE.
Neutral-atom scattering factors, no anomalous dispersion.

The 10 most intense peaks (2θ = 10–90°), sorted by position:
two_theta, d [Å], I (rel.)
14.49, 6.112, 31
25.33, 3.517, 52
28.23, 3.162, 28
32.31, 2.771, 55
33.80, 2.652, 26
36.06, 2.491, 100
41.25, 2.188, 27
42.05, 2.149, 28
42.65, 2.120, 56
59.95, 1.543, 25

Crystal structure
abc: 4.715 6.112 11.939
angles: 90.00 111.83 90.00
Positions (direct):
Ag: 0.195 0.220 0.157
Ag: 0.195 0.780 0.657
Ag: 0.279 0.472 0.866
Ag: 0.279 0.528 0.366
Ag: 0.721 0.472 0.634
Ag: 0.721 0.528 0.134
Ag: 0.805 0.220 0.343
Ag: 0.805 0.780 0.843
Te: 0.176 0.233 0.591
Te: 0.176 0.767 0.091
Te: 0.824 0.233 0.909
Te: 0.824 0.767 0.409
H: 0.363 0.249 0.324
H: 0.363 0.751 0.824
H: 0.637 0.249 0.176
H: 0.637 0.751 0.676